Diffraction record for Rb2YPdCl6. The X-ray diffraction stick pattern is theoretical, not measured: it uses a DFT-relaxed cell (PBE, Alexandria) and Cu Kα.

Crystal structure
Lattice parameters (Å, degrees): 7.6447 10.2695 7.6451 90.00 90.00 90.00
Space group Pmmn (No. 59, origin choice 2)
Asymmetric unit:
Rb 0.2500 0.0000 0.2495
Y 0.2500 0.2500 0.7494
Pd 0.2500 0.7500 0.7504
Cl 0.0062 0.2500 0.9929
Cl 0.0066 0.2500 0.5055
Cl 0.2500 0.5075 0.7501

Most intense lines, 2θ = 5–70°, by intensity:
(1 2 1), 2θ = 23.90°, rel. 1000
(2 0 2), 2θ = 33.14°, rel. 828
(2 0 0), 2θ = 23.27°, rel. 533
(2 4 2), 2θ = 48.93°, rel. 510
(3 2 1), 2θ = 41.28°, rel. 475
(0 4 0), 2θ = 34.95°, rel. 355
(4 0 0), 2θ = 47.58°, rel. 279
(4 4 0), 2θ = 60.38°, rel. 262
(2 2 0), 2θ = 29.12°, rel. 255
(2 4 0), 2θ = 42.41°, rel. 219

Diffraction record for NaLi5Pb6. The X-ray diffraction stick pattern is theoretical, not measured: it uses a DFT-relaxed cell (PBE, Alexandria) and Cu Kα.

Crystal structure
Lattice parameters (Å, degrees): 5.0452 7.3461 8.8227 113.65 106.40 90.08
Space group P-1 (No. 2)
Asymmetric unit:
Na 0.0000 0.0000 0.0000
Li 0.0000 0.5000 0.0000
Li 0.3281 0.3246 0.6572
Li 0.3367 0.8374 0.6747
Pb 0.1665 0.4282 0.3261
Pb 0.1746 0.9194 0.3534
Pb 0.4905 0.7166 0.9780

Most intense lines, 2θ = 5–70°, by intensity:
(1 0 1), 2θ = 24.76°, rel. 1000
(0 2 -1), 2θ = 24.23°, rel. 531
(1 2 0), 2θ = 34.71°, rel. 480
(1 -2 2), 2θ = 35.05°, rel. 472
(2 0 -1), 2θ = 35.59°, rel. 244
(1 2 -3), 2θ = 35.19°, rel. 239
(2 -2 0), 2θ = 43.45°, rel. 223
(2 2 -2), 2θ = 43.55°, rel. 114
(0 2 2), 2θ = 42.68°, rel. 106
(1 -4 3), 2θ = 56.55°, rel. 96

Diffraction record for CsIrOs. The X-ray diffraction stick pattern is theoretical, not measured: it uses a DFT-relaxed cell (PBE, Alexandria) and Cu Kα.

Crystal structure
Lattice parameters (Å, degrees): 4.4764 13.6678 5.1711 90.00 90.00 90.00
Space group Cmcm (No. 63)
Asymmetric unit:
Cs 0.0000 0.2158 0.2500
Ir 0.0000 0.0234 0.7500
Os 0.0000 0.5000 0.0000

Most intense lines, 2θ = 5–70°, by intensity:
(0 2 0), 2θ = 12.95°, rel. 1000
(1 1 2), 2θ = 40.84°, rel. 653
(0 4 0), 2θ = 26.08°, rel. 607
(1 5 2), 2θ = 52.86°, rel. 374
(2 0 0), 2θ = 40.29°, rel. 268
(1 3 1), 2θ = 32.97°, rel. 247
(1 3 2), 2θ = 45.12°, rel. 242
(2 4 0), 2θ = 48.63°, rel. 226
(0 4 1), 2θ = 31.38°, rel. 171
(2 2 0), 2θ = 42.50°, rel. 130

Diffraction record for Rb2TbZn2S4. The X-ray diffraction stick pattern is theoretical, not measured: it uses a DFT-relaxed cell (PBE, Alexandria) and Cu Kα.

Crystal structure
Lattice parameters (Å, degrees): 15.9681 3.9257 8.1136 90.00 112.95 90.00
Space group C2/m (No. 12)
Asymmetric unit:
Rb 0.1287 0.0000 0.0594
Tb 0.0000 0.0000 0.5000
Zn 0.1826 0.5000 0.5205
S 0.0341 0.5000 0.2917
S 0.1866 0.0000 0.7007

Most intense lines, 2θ = 5–70°, by intensity:
(3 1 -1), 2θ = 28.67°, rel. 1000
(0 0 1), 2θ = 11.85°, rel. 953
(3 1 -2), 2θ = 32.98°, rel. 783
(3 1 1), 2θ = 34.23°, rel. 780
(4 0 1), 2θ = 31.02°, rel. 597
(1 1 -2), 2θ = 31.89°, rel. 589
(0 0 2), 2θ = 23.82°, rel. 569
(3 1 3), 2θ = 52.70°, rel. 513
(0 2 0), 2θ = 46.25°, rel. 433
(1 1 0), 2θ = 23.45°, rel. 395

Diffraction record for K2BaAsS4. The X-ray diffraction stick pattern is theoretical, not measured: it uses a DFT-relaxed cell (PBE, Alexandria) and Cu Kα.

Crystal structure
Lattice parameters (Å, degrees): 8.0685 9.1286 12.2817 90.00 90.00 90.00
Space group Imma (No. 74)
Asymmetric unit:
K 0.0000 0.0000 0.0000
K 0.2500 0.2500 0.2500
Ba 0.0000 0.0000 0.5000
As 0.2500 0.2500 0.7500
S 0.0000 0.0577 0.7511
S 0.2500 0.2500 0.5395

Most intense lines, 2θ = 5–70°, by intensity:
(2 2 0), 2θ = 29.55°, rel. 1000
(2 2 4), 2θ = 41.94°, rel. 621
(0 0 4), 2θ = 29.08°, rel. 488
(0 2 2), 2θ = 24.31°, rel. 393
(1 0 1), 2θ = 13.13°, rel. 309
(0 1 1), 2θ = 12.08°, rel. 306
(0 4 0), 2θ = 39.51°, rel. 220
(2 0 2), 2θ = 26.43°, rel. 209
(4 0 0), 2θ = 44.94°, rel. 190
(4 0 4), 2θ = 54.43°, rel. 168

Diffraction record for La6Zn2Hg. The X-ray diffraction stick pattern is theoretical, not measured: it uses a DFT-relaxed cell (PBE, Alexandria) and Cu Kα.

Crystal structure
Lattice parameters (Å, degrees): 5.4594 12.4940 16.3625 90.00 90.00 90.00
Space group Fmmm (No. 69)
Asymmetric unit:
La 0.0000 0.1454 0.1695
La 0.0000 0.1491 0.5000
Zn 0.0000 0.0000 0.3339
Hg 0.0000 0.0000 0.0000

Most intense lines, 2θ = 5–70°, by intensity:
(1 3 3), 2θ = 31.61°, rel. 1000
(2 0 0), 2θ = 32.83°, rel. 501
(3 3 3), 2θ = 57.84°, rel. 354
(2 0 6), 2θ = 47.11°, rel. 182
(2 6 0), 2θ = 55.51°, rel. 145
(2 6 6), 2θ = 66.01°, rel. 85
(0 6 0), 2θ = 43.46°, rel. 75
(1 5 3), 2θ = 43.13°, rel. 65
(4 0 0), 2θ = 68.82°, rel. 58
(1 1 1), 2θ = 18.55°, rel. 47

Diffraction record for LiTlAg3. The X-ray diffraction stick pattern is theoretical, not measured: it uses a DFT-relaxed cell (PBE, Alexandria) and Cu Kα.

Crystal structure
Lattice parameters (Å, degrees): 5.1452 7.2783 5.4876 90.00 102.71 90.00
Space group P2_1/m (No. 11)
Asymmetric unit:
Li 0.0273 0.2500 0.2252
Tl 0.1691 0.2500 0.7280
Ag 0.2929 0.5509 0.1211
Ag 0.4239 0.7500 0.6005

Most intense lines, 2θ = 5–70°, by intensity:
(1 2 1), 2θ = 36.67°, rel. 1000
(0 2 1), 2θ = 29.66°, rel. 881
(0 1 1), 2θ = 20.60°, rel. 710
(1 1 -2), 2θ = 36.54°, rel. 606
(2 1 0), 2θ = 37.92°, rel. 452
(2 0 -1), 2θ = 36.03°, rel. 394
(1 0 2), 2θ = 41.59°, rel. 383
(1 3 -1), 2θ = 43.21°, rel. 377
(1 2 -1), 2θ = 32.75°, rel. 360
(1 3 0), 2θ = 41.33°, rel. 358

Diffraction record for CsCu2SnBr8. The X-ray diffraction stick pattern is theoretical, not measured: it uses a DFT-relaxed cell (PBE, Alexandria) and Cu Kα.

Crystal structure
Lattice parameters (Å, degrees): 6.7561 6.7561 32.0692 90.00 90.00 120.00
Space group R32 (No. 155, hexagonal axes)
Asymmetric unit:
Cs 0.0000 0.0000 0.0000
Cu 0.0000 0.0000 0.2437
Sn 0.0000 0.0000 0.5000
Br 0.0000 0.0000 0.3170
Br 0.0021 0.3147 0.5559

Most intense lines, 2θ = 5–70°, by intensity:
(1 0 4), 2θ = 18.78°, rel. 1000
(1 1 0), 2θ = 26.38°, rel. 877
(1 1 6), 2θ = 31.33°, rel. 760
(3 0 0), 2θ = 46.57°, rel. 697
(1 1 3), 2θ = 27.70°, rel. 656
(1 1 12), 2θ = 43.16°, rel. 561
(0 0 9), 2θ = 24.99°, rel. 520
(1 1 9), 2θ = 36.66°, rel. 488
(3 0 9), 2θ = 53.57°, rel. 333
(0 2 4), 2θ = 32.58°, rel. 247

Diffraction record for Na2AgPd3. The X-ray diffraction stick pattern is theoretical, not measured: it uses a DFT-relaxed cell (PBE, Alexandria) and Cu Kα.

Crystal structure
Lattice parameters (Å, degrees): 9.3492 5.4113 5.5107 90.00 124.42 90.00
Space group C2/m (No. 12)
Asymmetric unit:
Na 0.1226 0.0000 0.3677
Ag 0.0000 0.5000 0.5000
Pd 0.0000 0.5000 0.0000
Pd 0.2500 0.2500 0.0000

Most intense lines, 2θ = 5–70°, by intensity:
(1 1 0), 2θ = 20.06°, rel. 1000
(2 2 0), 2θ = 40.76°, rel. 880
(3 1 0), 2θ = 38.77°, rel. 680
(4 0 0), 2θ = 47.10°, rel. 453
(2 0 1), 2θ = 38.19°, rel. 366
(0 0 1), 2θ = 19.53°, rel. 337
(4 0 -1), 2θ = 39.05°, rel. 317
(0 0 2), 2θ = 39.65°, rel. 309
(2 2 2), 2θ = 68.04°, rel. 224
(5 1 0), 2θ = 62.59°, rel. 161

Diffraction record for La2Ga7Ag12. The X-ray diffraction stick pattern is theoretical, not measured: it uses a DFT-relaxed cell (PBE, Alexandria) and Cu Kα.

Crystal structure
Lattice parameters (Å, degrees): 10.6933 10.6933 4.1915 90.00 90.00 120.00
Space group P-3 (No. 147)
Asymmetric unit:
La 0.3333 0.6667 0.2433
Ga 0.0000 0.0000 0.5000
Ga 0.1224 0.7083 0.7430
Ag 0.0528 0.4324 0.7520
Ag 0.1176 0.2597 0.2354

Most intense lines, 2θ = 5–70°, by intensity:
(2 1 1), 2θ = 33.35°, rel. 1000
(1 4 0), 2θ = 44.85°, rel. 209
(4 -1 1), 2θ = 41.22°, rel. 204
(0 0 2), 2θ = 43.17°, rel. 196
(3 2 0), 2θ = 42.55°, rel. 152
(3 0 1), 2θ = 36.14°, rel. 127
(1 4 2), 2θ = 64.00°, rel. 110
(0 4 1), 2θ = 44.72°, rel. 82
(4 0 0), 2θ = 38.90°, rel. 79
(2 2 0), 2θ = 33.52°, rel. 79

Diffraction record for BeH4SO4. The X-ray diffraction stick pattern is theoretical, not measured: it uses a DFT-relaxed cell (PBE, Alexandria) and Cu Kα.

Crystal structure
Lattice parameters (Å, degrees): 7.9929 7.9929 6.1516 90.00 90.00 90.00
Space group I4/mcm (No. 140)
Asymmetric unit:
Be 0.0000 0.5000 0.0000
H 0.1249 0.3751 0.0675
S 0.0000 0.0000 0.0000
O 0.0928 0.1715 0.5000

Most intense lines, 2θ = 5–70°, by intensity:
(1 1 0), 2θ = 15.68°, rel. 1000
(0 0 2), 2θ = 29.03°, rel. 518
(1 1 2), 2θ = 33.16°, rel. 296
(2 0 0), 2θ = 22.24°, rel. 209
(3 2 1), 2θ = 43.39°, rel. 101
(2 0 2), 2θ = 36.88°, rel. 92
(4 2 2), 2θ = 59.83°, rel. 91
(4 1 1), 2θ = 49.29°, rel. 81
(4 2 0), 2θ = 51.11°, rel. 60
(2 2 0), 2θ = 31.66°, rel. 39

Diffraction record for Mg5In4Pd4. The X-ray diffraction stick pattern is theoretical, not measured: it uses a DFT-relaxed cell (PBE, Alexandria) and Cu Kα.

Crystal structure
Lattice parameters (Å, degrees): 11.3859 11.3859 4.0581 90.00 90.00 90.00
Space group I4/m (No. 87)
Asymmetric unit:
Mg 0.0000 0.0000 0.0000
Mg 0.1232 0.1872 0.5000
In 0.0996 0.6194 0.5000
Pd 0.0477 0.7763 0.0000

Most intense lines, 2θ = 5–70°, by intensity:
(2 3 1), 2θ = 36.04°, rel. 1000
(5 1 0), 2θ = 40.39°, rel. 295
(1 1 0), 2θ = 10.99°, rel. 224
(2 2 0), 2θ = 22.08°, rel. 193
(4 1 1), 2θ = 39.47°, rel. 182
(3 1 0), 2θ = 24.73°, rel. 169
(0 0 2), 2θ = 44.66°, rel. 167
(5 1 2), 2θ = 61.78°, rel. 162
(2 1 1), 2θ = 28.12°, rel. 149
(1 0 1), 2θ = 23.27°, rel. 137

Diffraction record for La4NdSm5. The X-ray diffraction stick pattern is theoretical, not measured: it uses a DFT-relaxed cell (PBE, Alexandria) and Cu Kα.

Crystal structure
Lattice parameters (Å, degrees): 11.9236 5.6652 10.6897 90.00 90.14 90.00
Space group C2/m (No. 12)
Asymmetric unit:
La 0.0514 0.0000 0.2515
La 0.1735 0.5000 0.7498
Nd 0.0000 0.5000 0.0000
Sm 0.0000 0.5000 0.5000
Sm 0.1966 0.0000 0.9344
Sm 0.1980 0.0000 0.5665

Most intense lines, 2θ = 5–70°, by intensity:
(3 1 -2), 2θ = 32.21°, rel. 1000
(1 1 3), 2θ = 30.57°, rel. 767
(0 2 0), 2θ = 31.59°, rel. 487
(4 0 1), 2θ = 31.15°, rel. 277
(3 3 -2), 2θ = 56.63°, rel. 250
(4 2 1), 2θ = 44.96°, rel. 216
(1 1 2), 2θ = 24.08°, rel. 164
(4 2 -5), 2θ = 62.70°, rel. 151
(1 3 3), 2θ = 55.62°, rel. 142
(3 1 1), 2θ = 28.68°, rel. 125